(1)
The following is a computed X-ray powder pattern of SrAgSn. It was derived from DFT lattice parameters and positions (GGA-PBE), using λ = 1.5418 Å (Cu Kα).
Kinematic intensities with the Lorentz-polarization factor, no thermal factor.

Most intense lines, 15° ≤ 2θ ≤ 90°, by angle:
2θ = 22.9°, d 3.888, rel. 18; 2θ = 31.0°, d 2.889, rel. 100; 2θ = 36.0°, d 2.492, rel. 82; 2θ = 43.1°, d 2.098, rel. 20; 2θ = 46.7°, d 1.944, rel. 13; 2θ = 48.2°, d 1.887, rel. 29; 2θ = 60.4°, d 1.533, rel. 36; 2θ = 61.7°, d 1.504, rel. 27; 2θ = 64.8°, d 1.439, rel. 15; 2θ = 83.6°, d 1.157, rel. 15

Cell and atoms:
```
SrAgSn
1.0
4.984 0.000 0.000
-2.492 4.316 0.000
0.000 0.000 3.888
Sr Ag Sn
1 1 1
direct
0.000 0.000 0.000
0.667 0.333 0.500
0.333 0.667 0.500
```

=====

(2)
The following is a computed X-ray powder pattern of Sr3Ag2Sn. It was derived from DFT lattice parameters and positions (GGA-PBE), using λ = 1.5418 Å (Cu Kα).
Kinematic intensities with the Lorentz-polarization factor, no thermal factor.

Most intense lines, 15° ≤ 2θ ≤ 90°, by angle:
2θ = 31.7°, d 2.822, rel. 51; 2θ = 31.9°, d 2.803, rel. 100; 2θ = 45.5°, d 1.996, rel. 18; 2θ = 46.1°, d 1.969, rel. 9; 2θ = 56.6°, d 1.626, rel. 38; 2θ = 57.0°, d 1.615, rel. 19; 2θ = 66.7°, d 1.402, rel. 12; 2θ = 75.3°, d 1.262, rel. 8; 2θ = 75.4°, d 1.260, rel. 8; 2θ = 76.4°, d 1.247, rel. 8

Cell and atoms:
```
Sr3Ag2Sn
1.0
2.823 -8.462 0.000
2.823 8.462 0.000
0.000 0.000 3.938
Sr Ag Sn
3 2 1
direct
0.000 0.000 0.000
0.331 0.669 0.000
0.669 0.331 0.000
0.167 0.833 0.500
0.833 0.167 0.500
0.500 0.500 0.500
```

=====

(3)
The following is a computed X-ray powder pattern of Sr3Ag2Sn7. It was derived from DFT lattice parameters and positions (GGA-PBE), using λ = 1.5418 Å (Cu Kα).
Kinematic intensities with the Lorentz-polarization factor, no thermal factor.

Most intense lines, 15° ≤ 2θ ≤ 90°, by angle:
2θ = 27.7°, d 3.215, rel. 11; 2θ = 30.2°, d 2.957, rel. 100; 2θ = 33.6°, d 2.665, rel. 36; 2θ = 37.5°, d 2.400, rel. 65; 2θ = 37.8°, d 2.382, rel. 19; 2θ = 42.4°, d 2.131, rel. 12; 2θ = 54.0°, d 1.697, rel. 23; 2θ = 54.3°, d 1.689, rel. 11; 2θ = 58.8°, d 1.570, rel. 13; 2θ = 63.2°, d 1.472, rel. 24

Cell and atoms:
```
Sr3Ag2Sn7
1.0
4.798 0.000 0.000
0.000 4.801 0.000
-2.368 0.000 15.059
Sr Ag Sn
3 2 7
direct
0.000 0.000 0.000
0.320 0.500 0.639
0.680 0.500 0.361
0.137 0.000 0.269
0.863 0.000 0.731
0.076 0.500 0.165
0.225 0.000 0.449
0.415 0.000 0.834
0.500 0.500 0.000
0.585 0.000 0.166
0.775 0.000 0.551
0.924 0.500 0.835
```

=====

(4)
The following is a computed X-ray powder pattern of Sr3Ag3Sn2. It was derived from DFT lattice parameters and positions (GGA-PBE), using λ = 1.5418 Å (Cu Kα).
Kinematic intensities with the Lorentz-polarization factor, no thermal factor.

Most intense lines, 15° ≤ 2θ ≤ 90°, by angle:
2θ = 17.1°, d 5.198, rel. 38; 2θ = 29.2°, d 3.055, rel. 90; 2θ = 30.3°, d 2.952, rel. 49; 2θ = 32.3°, d 2.768, rel. 34; 2θ = 32.5°, d 2.753, rel. 100; 2θ = 33.0°, d 2.717, rel. 68; 2θ = 34.0°, d 2.638, rel. 92; 2θ = 36.9°, d 2.439, rel. 37; 2θ = 37.0°, d 2.432, rel. 76; 2θ = 42.6°, d 2.124, rel. 35

Cell and atoms:
```
Sr3Ag3Sn2
1.0
9.012 0.000 0.000
0.000 16.605 0.000
0.000 0.000 6.363
Sr Ag Sn
12 12 8
direct
0.043 0.105 0.137
0.043 0.395 0.137
0.172 0.250 0.629
0.328 0.750 0.129
0.457 0.605 0.637
0.457 0.895 0.637
0.543 0.105 0.363
0.543 0.395 0.363
0.672 0.250 0.871
0.828 0.750 0.371
0.957 0.605 0.863
0.957 0.895 0.863
0.181 0.750 0.618
0.185 0.035 0.612
0.185 0.465 0.612
0.315 0.535 0.112
0.315 0.965 0.112
0.319 0.250 0.118
0.681 0.750 0.882
0.685 0.035 0.888
0.685 0.465 0.888
0.815 0.535 0.388
0.815 0.965 0.388
0.819 0.250 0.382
0.108 0.604 0.374
0.108 0.896 0.374
0.392 0.104 0.874
0.392 0.396 0.874
0.608 0.604 0.126
0.608 0.896 0.126
0.892 0.104 0.626
0.892 0.396 0.626
```

=====

(5)
The following is a computed X-ray powder pattern of Sr2Ag3Sn. It was derived from DFT lattice parameters and positions (GGA-PBE), using λ = 1.5418 Å (Cu Kα).
Kinematic intensities with the Lorentz-polarization factor, no thermal factor.

Most intense lines, 15° ≤ 2θ ≤ 90°, by angle:
2θ = 21.1°, d 4.215, rel. 30; 2θ = 30.0°, d 2.983, rel. 50; 2θ = 30.1°, d 2.968, rel. 100; 2θ = 37.0°, d 2.429, rel. 70; 2θ = 37.4°, d 2.406, rel. 34; 2θ = 42.9°, d 2.107, rel. 23; 2θ = 43.0°, d 2.105, rel. 18; 2θ = 48.6°, d 1.873, rel. 25; 2θ = 57.9°, d 1.592, rel. 37; 2θ = 58.2°, d 1.585, rel. 18

Cell and atoms:
```
Sr2Ag3Sn
1.0
0.000 4.813 8.442
4.215 0.000 8.442
4.215 4.813 0.000
Sr Ag Sn
4 6 2
direct
0.242 0.758 0.758
0.250 0.250 0.250
0.750 0.750 0.750
0.758 0.242 0.242
0.167 0.667 0.333
0.168 0.168 0.832
0.333 0.833 0.167
0.667 0.167 0.833
0.832 0.832 0.168
0.833 0.333 0.667
0.335 0.335 0.665
0.665 0.665 0.335
```

=====

(6)
The following is a computed X-ray powder pattern of SrAg5Sn7. It was derived from DFT lattice parameters and positions (GGA-PBE), using λ = 1.5418 Å (Cu Kα).
Kinematic intensities with the Lorentz-polarization factor, no thermal factor.

Most intense lines, 15° ≤ 2θ ≤ 90°, by angle:
2θ = 29.9°, d 2.991, rel. 49; 2θ = 34.6°, d 2.591, rel. 66; 2θ = 34.8°, d 2.581, rel. 100; 2θ = 34.9°, d 2.570, rel. 39; 2θ = 35.1°, d 2.554, rel. 35; 2θ = 38.9°, d 2.313, rel. 43; 2θ = 39.0°, d 2.310, rel. 88; 2θ = 39.3°, d 2.291, rel. 46; 2θ = 62.1°, d 1.496, rel. 37; 2θ = 62.8°, d 1.480, rel. 33

Cell and atoms:
```
SrAg5Sn7
1.0
-2.990 5.184 5.108
2.990 -5.184 5.108
2.990 5.184 -5.108
Sr Ag Sn
1 5 7
direct
0.000 0.000 0.000
0.505 0.500 0.507
0.505 0.998 0.005
0.776 0.276 0.500
0.993 0.500 0.995
0.993 0.998 0.493
0.189 0.493 0.695
0.226 0.726 0.500
0.353 0.006 0.347
0.353 0.353 0.000
0.655 0.655 0.000
0.659 0.006 0.653
0.798 0.493 0.305
```

=====

(7)
The following is a computed X-ray powder pattern of Sr3Ag3Sn8. It was derived from DFT lattice parameters and positions (GGA-PBE), using λ = 1.5418 Å (Cu Kα).
Kinematic intensities with the Lorentz-polarization factor, no thermal factor.

Most intense lines, 15° ≤ 2θ ≤ 90°, by angle:
2θ = 30.4°, d 2.940, rel. 82; 2θ = 30.8°, d 2.903, rel. 32; 2θ = 31.0°, d 2.884, rel. 86; 2θ = 31.9°, d 2.807, rel. 34; 2θ = 33.0°, d 2.711, rel. 45; 2θ = 34.9°, d 2.568, rel. 100; 2θ = 37.8°, d 2.379, rel. 48; 2θ = 39.0°, d 2.307, rel. 46; 2θ = 40.5°, d 2.226, rel. 29; 2θ = 52.4°, d 1.745, rel. 40

Cell and atoms:
```
Sr3Ag3Sn8
1.0
8.758 -2.568 0.000
8.758 2.568 0.000
-6.122 0.000 8.606
Sr Ag Sn
3 3 8
direct
0.000 0.000 0.000
0.297 0.297 0.308
0.703 0.703 0.692
0.000 0.000 0.500
0.340 0.340 0.692
0.660 0.660 0.308
0.140 0.140 0.421
0.150 0.150 0.869
0.351 0.351 0.969
0.499 0.499 0.319
0.501 0.501 0.681
0.649 0.649 0.031
0.850 0.850 0.131
0.860 0.860 0.579
```

=====

(8)
The following is a computed X-ray powder pattern of Sr2Ag4Sn5. It was derived from DFT lattice parameters and positions (GGA-PBE), using λ = 1.5418 Å (Cu Kα).
Kinematic intensities with the Lorentz-polarization factor, no thermal factor.

Most intense lines, 15° ≤ 2θ ≤ 90°, by angle:
2θ = 16.8°, d 5.280, rel. 20; 2θ = 30.0°, d 2.981, rel. 43; 2θ = 31.1°, d 2.876, rel. 23; 2θ = 31.8°, d 2.817, rel. 23; 2θ = 33.9°, d 2.643, rel. 100; 2θ = 37.1°, d 2.422, rel. 78; 2θ = 38.0°, d 2.370, rel. 42; 2θ = 39.1°, d 2.306, rel. 28; 2θ = 55.7°, d 1.650, rel. 20; 2θ = 57.7°, d 1.598, rel. 15

Cell and atoms:
```
Sr2Ag4Sn5
1.0
-3.186 4.710 4.740
3.186 -4.710 4.740
3.186 4.710 -4.740
Sr Ag Sn
2 4 5
direct
0.214 0.214 0.000
0.786 0.786 0.000
0.097 0.754 0.344
0.410 0.754 0.656
0.590 0.246 0.344
0.903 0.246 0.656
0.000 0.500 0.500
0.309 0.257 0.565
0.309 0.743 0.052
0.691 0.257 0.948
0.691 0.743 0.435
```

=====

(9)
The following is a computed X-ray powder pattern of SrAg5Sn2. It was derived from DFT lattice parameters and positions (GGA-PBE), using λ = 1.5418 Å (Cu Kα).
Kinematic intensities with the Lorentz-polarization factor, no thermal factor.

Most intense lines, 15° ≤ 2θ ≤ 90°, by angle:
2θ = 28.3°, d 3.153, rel. 15; 2θ = 31.6°, d 2.828, rel. 46; 2θ = 31.8°, d 2.816, rel. 49; 2θ = 40.3°, d 2.239, rel. 37; 2θ = 40.5°, d 2.229, rel. 100; 2θ = 42.9°, d 2.108, rel. 9; 2θ = 58.5°, d 1.577, rel. 26; 2θ = 68.1°, d 1.376, rel. 10; 2θ = 73.3°, d 1.292, rel. 10; 2θ = 73.4°, d 1.289, rel. 13

Cell and atoms:
```
SrAg5Sn2
1.0
-2.229 3.883 5.449
2.229 -3.883 5.449
2.229 3.883 -5.449
Sr Ag Sn
1 5 2
direct
0.000 0.000 0.000
0.185 0.367 0.818
0.451 0.633 0.818
0.500 0.000 0.500
0.549 0.367 0.182
0.815 0.633 0.182
0.246 0.746 0.500
0.754 0.254 0.500
```

=====

(10)
The following is a computed X-ray powder pattern of TbAgSn3. It was derived from DFT lattice parameters and positions (GGA-PBE), using λ = 1.5418 Å (Cu Kα).
Kinematic intensities with the Lorentz-polarization factor, no thermal factor.

Most intense lines, 15° ≤ 2θ ≤ 90°, by angle:
2θ = 31.9°, d 2.802, rel. 100; 2θ = 32.9°, d 2.720, rel. 19; 2θ = 34.6°, d 2.594, rel. 23; 2θ = 34.9°, d 2.569, rel. 41; 2θ = 35.2°, d 2.552, rel. 29; 2θ = 35.7°, d 2.517, rel. 74; 2θ = 38.6°, d 2.332, rel. 17; 2θ = 41.0°, d 2.201, rel. 45; 2θ = 54.9°, d 1.671, rel. 26; 2θ = 69.2°, d 1.358, rel. 23

Cell and atoms:
```
TbAgSn3
1.0
12.843 0.000 0.000
0.000 6.236 0.000
0.000 0.000 6.213
Tb Ag Sn
4 4 12
direct
0.191 0.007 0.250
0.191 0.493 0.750
0.809 0.507 0.250
0.809 0.993 0.750
0.388 0.250 0.000
0.388 0.250 0.500
0.612 0.750 0.000
0.612 0.750 0.500
0.001 0.750 0.000
0.001 0.750 0.500
0.238 0.510 0.250
0.238 0.990 0.750
0.425 0.651 0.750
0.425 0.849 0.250
0.575 0.151 0.750
0.575 0.349 0.250
0.762 0.010 0.250
0.762 0.490 0.750
0.999 0.250 0.000
0.999 0.250 0.500
```

=====

(11)
The following is a computed X-ray powder pattern of TbAgSn. It was derived from DFT lattice parameters and positions (GGA-PBE), using λ = 1.5418 Å (Cu Kα).
Kinematic intensities with the Lorentz-polarization factor, no thermal factor.

Most intense lines, 15° ≤ 2θ ≤ 90°, by angle:
2θ = 32.9°, d 2.719, rel. 100; 2θ = 37.6°, d 2.394, rel. 73; 2θ = 50.7°, d 1.799, rel. 18; 2θ = 50.8°, d 1.796, rel. 19; 2θ = 64.8°, d 1.438, rel. 42; 2θ = 64.9°, d 1.436, rel. 9; 2θ = 67.8°, d 1.382, rel. 13; 2θ = 83.9°, d 1.153, rel. 6; 2θ = 89.4°, d 1.096, rel. 14; 2θ = 89.5°, d 1.095, rel. 8

Cell and atoms:
```
TbAgSn
1.0
-2.393 3.601 4.150
2.393 -3.601 4.150
2.393 3.601 -4.150
Tb Ag Sn
2 2 2
direct
0.000 0.000 0.000
0.524 0.024 0.500
0.397 0.680 0.717
0.963 0.680 0.283
0.105 0.347 0.757
0.590 0.347 0.243
```

=====

(12)
The following is a computed X-ray powder pattern of Ag7SnTe6. It was derived from DFT lattice parameters and positions (GGA-PBE), using λ = 1.5418 Å (Cu Kα).
Kinematic intensities with the Lorentz-polarization factor, no thermal factor.

Most intense lines, 15° ≤ 2θ ≤ 90°, by angle:
2θ = 23.3°, d 3.823, rel. 38; 2θ = 26.1°, d 3.418, rel. 65; 2θ = 33.2°, d 2.700, rel. 100; 2θ = 40.9°, d 2.208, rel. 92; 2θ = 42.7°, d 2.117, rel. 83; 2θ = 53.6°, d 1.709, rel. 26; 2θ = 60.6°, d 1.528, rel. 27; 2θ = 69.6°, d 1.351, rel. 22; 2θ = 75.7°, d 1.256, rel. 28; 2θ = 75.8°, d 1.255, rel. 22

Cell and atoms:
```
Ag7SnTe6
1.0
3.824 2.208 7.626
-3.824 2.208 7.626
0.000 -4.416 7.626
Ag Sn Te
7 1 6
direct
0.000 0.000 0.000
0.120 0.804 0.477
0.212 0.534 0.854
0.477 0.120 0.804
0.534 0.854 0.212
0.804 0.477 0.120
0.854 0.212 0.534
0.667 0.667 0.667
0.079 0.396 0.749
0.254 0.927 0.596
0.396 0.749 0.079
0.596 0.254 0.927
0.749 0.079 0.396
0.927 0.596 0.254
```

=====

(13)
The following is a computed X-ray powder pattern of AgSn6Te8. It was derived from DFT lattice parameters and positions (GGA-PBE), using λ = 1.5418 Å (Cu Kα).
Kinematic intensities with the Lorentz-polarization factor, no thermal factor.

Most intense lines, 15° ≤ 2θ ≤ 90°, by angle:
2θ = 26.6°, d 3.351, rel. 100; 2θ = 26.7°, d 3.334, rel. 56; 2θ = 27.7°, d 3.219, rel. 74; 2θ = 30.8°, d 2.899, rel. 51; 2θ = 31.0°, d 2.881, rel. 58; 2θ = 32.0°, d 2.801, rel. 56; 2θ = 32.2°, d 2.783, rel. 52; 2θ = 37.2°, d 2.420, rel. 48; 2θ = 40.7°, d 2.216, rel. 91; 2θ = 44.7°, d 2.027, rel. 79

Cell and atoms:
```
AgSn6Te8
1.0
4.433 0.000 0.000
0.068 10.958 0.000
0.085 5.449 10.177
Ag Sn Te
1 6 8
direct
0.000 0.000 0.000
0.215 0.921 0.405
0.242 0.668 0.872
0.244 0.519 0.636
0.756 0.481 0.364
0.758 0.332 0.128
0.785 0.079 0.595
0.248 0.271 0.357
0.249 0.684 0.337
0.255 0.354 0.943
0.263 0.973 0.801
0.737 0.027 0.199
0.745 0.646 0.057
0.751 0.316 0.663
0.752 0.729 0.643
```